[1]
Starting from DFT lattice parameters and positions (PBE), the X-ray powder pattern of Nb9Ni4Ge was computed for CuKα.

abc: 9.6921 9.6921 9.6921
angles: 93.94 93.94 149.61
Sites, in units of the cell vectors:
1 Nb 0.0690 0.7066 0.7755
2 Nb 0.0851 0.1647 0.2499
3 Nb 0.1647 0.9149 0.0796
4 Nb 0.2066 0.5690 0.7755
5 Nb 0.2500 0.7500 0.5000
6 Nb 0.2934 0.0690 0.3624
7 Nb 0.3353 0.4149 0.7501
8 Nb 0.4149 0.6647 0.0796
9 Nb 0.4310 0.2066 0.6376
10 Nb 0.5690 0.7934 0.3624
11 Nb 0.5851 0.3353 0.9204
12 Nb 0.6647 0.5851 0.2499
13 Nb 0.7066 0.9310 0.6376
14 Nb 0.7500 0.2500 0.5000
15 Nb 0.7934 0.4310 0.2245
16 Nb 0.8353 0.0851 0.9204
17 Nb 0.9149 0.8353 0.7501
18 Nb 0.9310 0.2934 0.2245
19 Ni 0.0000 0.0000 0.5000
20 Ni 0.0000 0.5000 0.0000
21 Ni 0.1312 0.3688 0.5000
22 Ni 0.3688 0.8688 0.2375
23 Ni 0.5000 0.0000 0.0000
24 Ni 0.5000 0.5000 0.5000
25 Ni 0.6312 0.1312 0.7625
26 Ni 0.8688 0.6312 0.5000
27 Ge 0.2500 0.2500 0.0000
28 Ge 0.7500 0.7500 0.0000

Principal peaks in the range 10° ≤ 2θ ≤ 90°, in order of rising 2θ:
| 2θ (°) | d/Å | intensity |
| --- | --- | --- |
| 35.34 | 2.540 | 28 |
| 38.36 | 2.346 | 100 |
| 38.50 | 2.338 | 33 |
| 40.41 | 2.232 | 78 |
| 40.81 | 2.211 | 84 |
| 43.26 | 2.091 | 71 |
| 45.00 | 2.014 | 53 |
| 45.36 | 1.999 | 23 |
| 65.44 | 1.426 | 20 |
| 67.88 | 1.381 | 21 |


[2]
Starting from DFT lattice parameters and positions (PBE), the X-ray powder pattern of Te4Mo3WSe4 was computed for CuKα.

abc: 3.4372 3.4372 39.0547
angles: 90.00 90.00 120.00
Sites, in units of the cell vectors:
1 Te 0.0000 0.0000 0.0000
2 Te 0.0000 0.0000 0.0951
3 Te 0.0000 0.0000 0.3757
4 Te 0.0000 0.0000 0.4708
5 Mo 0.0000 0.0000 0.2354
6 Mo 0.6667 0.3333 0.0475
7 Mo 0.6667 0.3333 0.4232
8 W 0.0000 0.0000 0.6111
9 Se 0.6667 0.3333 0.1934
10 Se 0.6667 0.3333 0.2774
11 Se 0.6667 0.3333 0.5691
12 Se 0.6667 0.3333 0.6531

Principal peaks in the range 10° ≤ 2θ ≤ 90°, in order of rising 2θ:
| 2θ (°) | d/Å | intensity |
| --- | --- | --- |
| 11.33 | 7.811 | 95 |
| 30.03 | 2.976 | 53 |
| 35.32 | 2.542 | 100 |
| 38.01 | 2.367 | 15 |
| 42.76 | 2.115 | 63 |
| 44.51 | 2.035 | 19 |
| 53.31 | 1.718 | 38 |
| 65.57 | 1.424 | 16 |
| 75.29 | 1.262 | 17 |
| 89.36 | 1.096 | 15 |